Diffraction record for MnSb4O12. The powder diffraction line list is simulated, not measured: it uses the PBE+U geometry in the Materials Project and Cu Kα (weighted mean of Kα1 and Kα2).

Top 10 peaks for 2θ = 15–90°, in order of falling intensity:
2θ = 23.68°, intensity 100.0, (1 -1 0)
2θ = 24.08°, intensity 49.2, (1 1 0)
2θ = 32.71°, intensity 45.2, (1 1 -2)
2θ = 35.29°, intensity 32.6, (2 0 0)
2θ = 32.81°, intensity 22.8, (1 -1 2)
2θ = 48.45°, intensity 17.9, (2 -2 0)
2θ = 53.62°, intensity 17.7, (2 2 -2)
2θ = 34.63°, intensity 17.2, (-1 1 2)
2θ = 53.36°, intensity 16.3, (1 -1 4)
2θ = 42.62°, intensity 16.1, (2 0 -2)

Structural model:
Unit cell a=5.083 b=5.503 c=7.551 alpha=95.26 beta=90.73 gamma=90.86
Element x y z (fractional)
Mn (0.000, 0.000, 0.000)
Sb (0.000, 0.387, 0.320)
Sb (0.495, 0.858, 0.785)
Sb (0.507, 0.863, 0.310)
Sb (0.988, 0.393, 0.789)
O (0.153, 0.379, 0.562)
O (0.171, 0.704, 0.891)
O (0.174, 0.050, 0.225)
O (0.285, 0.160, 0.885)
O (0.313, 0.556, 0.232)
O (0.354, 0.886, 0.551)
O (0.652, 0.535, 0.736)
O (0.660, 0.858, 0.044)
O (0.686, 0.184, 0.369)
O (0.824, 0.693, 0.375)
O (0.836, 0.040, 0.767)
O (0.884, 0.324, 0.047)